Calculated powder diffraction line list
Compound: CsNiF
Radiation: Cu Kα (λ = 1.5418 Å)
Structure: a crystal structure in Alexandria, relaxed with PBE+U

Peak list (12 most intense, 2θ from 5° to 70°, in order of rising 2θ)
(hkl)  2theta  Rel. int.
0 1 1  24.2  21
1 0 -2  25.2  91
1 1 0  29.7  100
0 1 2  30.7  37
0 0 3  32.3  20
1 1 -2  33.5  21
2 0 -1  39.3  44
1 1 -3  40.1  15
0 2 0  44.2  19
1 1 3  48.6  25
2 1 1  50.6  18
1 2 -2  51.6  25

Crystal structure
Cell lengths 4.5859, 4.0952, 8.6182 Å; angles 90.00, 105.41, 90.00 degrees
Space group P2_1 (No. 4)
Unique sites:
Cs: 0.1547 0.0000 0.3087 x2
Ni: 0.4594 0.9988 0.9200 x2
F: 0.3352 0.0001 0.6714 x2